1.
Li3MnP2O8: calculated powder XRD pattern (Cu Ka), based on a crystal structure in the Materials Project, relaxed with GGA+U.

Largest 8 diffraction maxima, by intensity, 10 to 90 degrees two-theta:
| 2θ/deg | Rel. int. | hkl |
| --- | --- | --- |
| 17.39 | 1000 | 0 1 1 |
| 30.30 | 696 | 0 2 0 |
| 20.14 | 609 | 1 0 -1 |
| 23.12 | 604 | 0 1 2 |
| 35.23 | 533 | 1 1 -3 |
| 26.15 | 498 | 1 0 2 |
| 36.52 | 456 | 1 1 3 |
| 18.52 | 413 | 1 0 0 |

Structure:
```
data_Li3MnP2O8
_chemical_formula_sum 'Li6 Mn2 P4 O16'
_cell_length_a 4.7953
_cell_length_b 5.9000
_cell_length_c 10.1608
_cell_angle_alpha 90.00
_cell_angle_beta 92.59
_cell_angle_gamma 90.00
_space_group_name_H-M_alt 'P 1 21/m 1'
_space_group_IT_number 11
_space_group_name_Hall '-P 2yb'
loop_
_atom_site_label
_atom_site_type_symbol
_atom_site_fract_x
_atom_site_fract_y
_atom_site_fract_z
Li1 Li 0.0000 0.0000 0.0000
Li2 Li 0.0071 0.2500 0.7263
Li3 Li 0.4008 0.7500 0.4352
Mn1 Mn 0.4623 0.7500 0.7781
P1 P 0.1106 0.2500 0.3996
P2 P 0.4303 0.2500 0.9137
O1 O 0.1849 0.2500 0.5470
O2 O 0.2182 0.7500 0.6198
O3 O 0.2419 0.0404 0.3296
O4 O 0.2540 0.7500 0.0831
O5 O 0.2862 0.0425 0.8433
O6 O 0.3063 0.2500 0.0568
```


2.
KRb2MoF6: calculated powder XRD pattern (Cu Ka), based on a crystal structure in the Materials Project, relaxed with GGA+U.

Largest 8 diffraction maxima, by intensity, 10 to 90 degrees two-theta:
| 2θ/deg | Rel. int. | hkl |
| --- | --- | --- |
| 27.19 | 1000 | 2 2 0 |
| 38.83 | 443 | 4 0 0 |
| 48.05 | 388 | 4 2 2 |
| 56.09 | 267 | 4 4 0 |
| 76.92 | 214 | 6 4 2 |
| 63.42 | 191 | 6 2 0 |
| 16.55 | 161 | 1 1 1 |
| 33.46 | 113 | 2 2 2 |

Structure:
```
data_KRb2MoF6
_chemical_formula_sum 'K4 Rb8 Mo4 F24'
_cell_length_a 9.2758
_cell_length_b 9.2758
_cell_length_c 9.2758
_cell_angle_alpha 90.00
_cell_angle_beta 90.00
_cell_angle_gamma 90.00
_space_group_name_H-M_alt 'F m -3 m'
_space_group_IT_number 225
_space_group_name_Hall '-F 4 2 3'
loop_
_atom_site_label
_atom_site_type_symbol
_atom_site_fract_x
_atom_site_fract_y
_atom_site_fract_z
K1 K 0.0000 0.0000 0.0000
Rb1 Rb 0.2500 0.2500 0.2500
Mo1 Mo 0.0000 0.0000 0.5000
F1 F 0.0000 0.0000 0.2737
```


3.
LaMgFeCuO6: calculated powder XRD pattern (Cu Ka), based on a crystal structure in the Materials Project, relaxed with GGA+U.

Largest 8 diffraction maxima, by intensity, 10 to 90 degrees two-theta:
| 2θ/deg | Rel. int. | hkl |
| --- | --- | --- |
| 33.17 | 1000 | 1 1 -3 |
| 32.11 | 855 | 1 1 1 |
| 19.84 | 637 | 0 1 1 |
| 48.57 | 365 | 2 2 -2 |
| 34.39 | 272 | 2 0 -2 |
| 45.02 | 228 | 0 0 4 |
| 20.68 | 218 | 1 0 -2 |
| 57.09 | 184 | 0 2 4 |

Structure:
```
data_LaMgFeCuO6
_chemical_formula_sum 'La2 Mg2 Fe2 Cu2 O12'
_cell_length_a 5.2204
_cell_length_b 5.3920
_cell_length_c 9.4135
_cell_angle_alpha 90.00
_cell_angle_beta 121.18
_cell_angle_gamma 90.00
_space_group_name_H-M_alt 'P 1 c 1'
_space_group_IT_number 7
_space_group_name_Hall 'P -2yc'
loop_
_atom_site_label
_atom_site_type_symbol
_atom_site_fract_x
_atom_site_fract_y
_atom_site_fract_z
La1 La 0.0000 0.2089 0.0000
Mg1 Mg 0.4386 0.3067 0.4900
Fe1 Fe 0.7279 0.2560 0.2491
Cu1 Cu 0.2443 0.2472 0.7500
O1 O 0.0415 0.4805 0.8113
O2 O 0.0993 0.0448 0.3028
O3 O 0.3940 0.4967 0.1817
O4 O 0.4601 0.0493 0.6775
O5 O 0.5770 0.2946 0.0182
O6 O 0.8104 0.2316 0.4692
```


4.
CaVAs2O7: calculated powder XRD pattern (Cu Ka), based on a crystal structure in the Materials Project, relaxed with GGA+U.

Largest 8 diffraction maxima, by intensity, 10 to 90 degrees two-theta:
| 2θ/deg | Rel. int. | hkl |
| --- | --- | --- |
| 25.19 | 1000 | 2 1 -2 |
| 26.88 | 784 | 1 2 -2 |
| 27.61 | 574 | 1 0 2 |
| 32.77 | 531 | 2 2 0 |
| 39.51 | 326 | 3 1 0 |
| 21.74 | 241 | 1 1 1 |
| 40.34 | 199 | 1 2 -4 |
| 20.71 | 178 | 0 2 0 |

Structure:
```
data_CaVAs2O7
_chemical_formula_sum 'Ca4 V4 As8 O28'
_cell_length_a 8.1361
_cell_length_b 8.5787
_cell_length_c 10.6529
_cell_angle_alpha 90.00
_cell_angle_beta 119.27
_cell_angle_gamma 90.00
_space_group_name_H-M_alt 'P 1 21/c 1'
_space_group_IT_number 14
_space_group_name_Hall '-P 2ybc'
loop_
_atom_site_label
_atom_site_type_symbol
_atom_site_fract_x
_atom_site_fract_y
_atom_site_fract_z
Ca1 Ca 0.2407 0.0679 0.0950
V1 V 0.2989 0.0634 0.7159
As1 As 0.0518 0.7382 0.7496
As2 As 0.4515 0.6843 0.0442
O1 O 0.0555 0.6115 0.6279
O2 O 0.1333 0.5789 0.2429
O3 O 0.1697 0.2504 0.2678
O4 O 0.1870 0.6808 0.9309
O5 O 0.2612 0.1654 0.5708
O6 O 0.4619 0.5993 0.2005
O7 O 0.4727 0.6154 0.6073
```


5.
CaMnF4: calculated powder XRD pattern (Cu Ka), based on a crystal structure in the Materials Project, relaxed with GGA+U.

Largest 8 diffraction maxima, by intensity, 10 to 90 degrees two-theta:
| 2θ/deg | Rel. int. | hkl |
| --- | --- | --- |
| 28.41 | 1000 | 1 1 2 |
| 47.29 | 630 | 2 0 4 |
| 47.18 | 291 | 2 2 0 |
| 56.00 | 255 | 3 1 2 |
| 56.19 | 126 | 1 1 6 |
| 87.84 | 114 | 4 2 4 |
| 76.34 | 94 | 3 1 6 |
| 88.08 | 71 | 2 2 8 |

Structure:
```
data_CaMnF4
_chemical_formula_sum 'Ca4 Mn4 F16'
_cell_length_a 5.4485
_cell_length_b 5.4485
_cell_length_c 10.8503
_cell_angle_alpha 90.00
_cell_angle_beta 90.00
_cell_angle_gamma 90.00
_space_group_name_H-M_alt 'I 4/m c m'
_space_group_IT_number 140
_space_group_name_Hall '-I 4 2c'
loop_
_atom_site_label
_atom_site_type_symbol
_atom_site_fract_x
_atom_site_fract_y
_atom_site_fract_z
Ca1 Ca 0.0000 0.0000 0.2500
Mn1 Mn 0.0000 0.5000 0.0000
F1 F 0.2129 0.2871 0.1243
```


6.
MgMn2O4: calculated powder XRD pattern (Cu Ka), based on a crystal structure in the Materials Project, relaxed with GGA+U.

Largest 8 diffraction maxima, by intensity, 10 to 90 degrees two-theta:
| 2θ/deg | Rel. int. | hkl |
| --- | --- | --- |
| 34.51 | 1000 | 2 2 0 |
| 18.09 | 628 | 0 0 2 |
| 34.72 | 540 | 0 2 2 |
| 41.99 | 491 | 2 2 2 |
| 61.06 | 366 | 6 2 -2 |
| 60.88 | 363 | 0 4 0 |
| 61.83 | 351 | 2 2 -6 |
| 29.77 | 319 | 1 1 -3 |

Structure:
```
data_MgMn2O4
_chemical_formula_sum 'Mg8 Mn16 O32'
_cell_length_a 10.5048
_cell_length_b 6.0901
_cell_length_c 10.3476
_cell_angle_alpha 90.00
_cell_angle_beta 108.62
_cell_angle_gamma 90.00
_space_group_name_H-M_alt 'C 1 m 1'
_space_group_IT_number 8
_space_group_name_Hall 'C -2y'
loop_
_atom_site_label
_atom_site_type_symbol
_atom_site_fract_x
_atom_site_fract_y
_atom_site_fract_z
Mg1 Mg 0.0000 0.0000 0.0000
Mg2 Mg 0.0000 0.5000 0.4994
Mg3 Mg 0.3015 0.0000 0.9260
Mg4 Mg 0.3018 0.5000 0.4259
Mn1 Mn 0.0007 0.2498 0.7514
Mn2 Mn 0.0006 0.2506 0.2510
Mn3 Mn 0.1984 0.0000 0.5761
Mn4 Mn 0.1990 0.5000 0.0747
Mn5 Mn 0.2510 0.0000 0.2501
Mn6 Mn 0.2509 0.5000 0.7503
O1 O 0.1006 0.0000 0.8565
O2 O 0.1005 0.5000 0.3560
O3 O 0.1254 0.2198 0.1419
O4 O 0.1248 0.2785 0.6398
O5 O 0.1412 0.5000 0.8676
O6 O 0.1426 0.0000 0.3702
O7 O 0.3592 0.0000 0.1288
O8 O 0.3586 0.5000 0.6291
O9 O 0.3751 0.2255 0.3608
O10 O 0.3749 0.2742 0.8618
O11 O 0.4034 0.0000 0.6459
O12 O 0.4049 0.5000 0.1473
```


7.
Ca2Mn2O5: calculated powder XRD pattern (Cu Ka), based on a crystal structure in the Materials Project, relaxed with GGA+U.

Largest 8 diffraction maxima, by intensity, 10 to 90 degrees two-theta:
| 2θ/deg | Rel. int. | hkl |
| --- | --- | --- |
| 32.85 | 1000 | 2 0 -1 |
| 33.26 | 492 | 1 1 1 |
| 31.86 | 411 | 0 2 -1 |
| 45.81 | 235 | 2 -2 0 |
| 46.99 | 231 | 2 2 -2 |
| 48.49 | 215 | 0 0 4 |
| 59.16 | 186 | 3 1 0 |
| 11.79 | 184 | 0 0 1 |

Structure:
```
data_Ca2Mn2O5
_chemical_formula_sum 'Ca4 Mn4 O10'
_cell_length_a 5.4569
_cell_length_b 5.6197
_cell_length_c 8.4473
_cell_angle_alpha 108.96
_cell_angle_beta 108.36
_cell_angle_gamma 91.36
_space_group_name_H-M_alt 'P 1'
_space_group_IT_number 1
_space_group_name_Hall 'P 1'
loop_
_atom_site_label
_atom_site_type_symbol
_atom_site_fract_x
_atom_site_fract_y
_atom_site_fract_z
Ca1 Ca 0.0000 0.0000 0.0000
Ca2 Ca 0.2086 0.1665 0.4294
Ca3 Ca 0.4959 0.4533 0.0039
Ca4 Ca 0.7167 0.7171 0.4334
Mn1 Mn 0.0969 0.5908 0.2190
Mn2 Mn 0.3908 0.7594 0.7165
Mn3 Mn 0.5943 0.0882 0.2143
Mn4 Mn 0.8996 0.3919 0.7165
O1 O 0.2021 0.7792 0.4752
O2 O 0.2579 0.4064 0.7167
O3 O 0.3350 0.8223 0.1907
O4 O 0.3616 0.3587 0.2466
O5 O 0.4440 0.0203 0.9585
O6 O 0.7208 0.1647 0.4821
O7 O 0.7685 0.7138 0.7167
O8 O 0.8339 0.8263 0.1869
O9 O 0.8616 0.3491 0.2427
O10 O 0.9551 0.3982 0.9507
```